Diffraction record for MoSeS. The X-ray powder pattern is simulated, not measured: it uses the PBE geometry in the Materials Project and λ = 1.5418 Å (Cu Kα).
Kinematic intensities with the Lorentz-polarization factor, no thermal factor.

Crystal structure
```
data_MoSeS
_cell_length_a 3.258
_cell_length_b 3.258
_cell_length_c 14.263
_cell_angle_alpha 90.00
_cell_angle_beta 90.00
_cell_angle_gamma 120.00
_symmetry_space_group_name_H-M 'P 1'
_symmetry_Int_Tables_number 1
_symmetry_space_group_name_Hall 'P 1'
loop_
_atom_site_label
_atom_site_type_symbol
_atom_site_fract_x
_atom_site_fract_y
_atom_site_fract_z
Mo1 Mo 0.000 0.000 0.242
Mo2 Mo 0.000 0.000 0.758
Se1 Se 0.333 0.667 0.638
Se2 Se 0.667 0.333 0.362
S1 S 0.333 0.667 0.865
S2 S 0.667 0.333 0.135
```

Principal peaks in the range 2θ = 10–90°, by intensity:
d [Å], intensity, h k l
7.131, 1000, 0 0 2
2.213, 531, 1 0 4
2.624, 370, 1 0 2
2.768, 266, 1 0 1
1.818, 192, 0 1 6
1.629, 192, 1 1 0
2.006, 141, 0 1 5
2.426, 120, 0 1 3
1.203, 107, 1 1 8
1.588, 105, 1 1 2


Diffraction record for Mo3Se2S4. The X-ray powder pattern is simulated, not measured: it uses the PBE geometry in the Materials Project and λ = 1.5418 Å (Cu Kα).
Kinematic intensities with the Lorentz-polarization factor, no thermal factor.

Crystal structure
```
data_Mo3Se2S4
_cell_length_a 3.231
_cell_length_b 3.231
_cell_length_c 29.668
_cell_angle_alpha 90.00
_cell_angle_beta 90.00
_cell_angle_gamma 120.00
_symmetry_space_group_name_H-M 'P 1'
_symmetry_Int_Tables_number 1
_symmetry_space_group_name_Hall 'P 1'
loop_
_atom_site_label
_atom_site_type_symbol
_atom_site_fract_x
_atom_site_fract_y
_atom_site_fract_z
Mo1 Mo 0.000 0.000 0.000
Mo2 Mo 0.667 0.333 0.231
Mo3 Mo 0.667 0.333 0.769
Se1 Se 0.667 0.333 0.058
Se2 Se 0.667 0.333 0.942
S1 S 0.000 0.000 0.179
S2 S 0.000 0.000 0.284
S3 S 0.000 0.000 0.716
S4 S 0.000 0.000 0.821
```

Principal peaks in the range 2θ = 10–90°, by intensity:
d [Å], intensity, h k l
7.417, 1000, 0 0 4
2.335, 459, 1 0 7
2.435, 389, 1 0 6
1.942, 340, 1 0 11
2.798, 259, 1 0 0
1.615, 259, 1 1 0
2.036, 210, 1 0 10
5.934, 153, 0 0 5
2.618, 129, 1 0 4
2.786, 120, 1 0 1


Diffraction record for MoSeS. The X-ray powder pattern is simulated, not measured: it uses the PBE geometry in the Materials Project and λ = 1.5418 Å (Cu Kα).
Kinematic intensities with the Lorentz-polarization factor, no thermal factor.

Crystal structure
```
data_MoSeS
_cell_length_a 19.491
_cell_length_b 3.256
_cell_length_c 5.640
_cell_angle_alpha 90.00
_cell_angle_beta 90.00
_cell_angle_gamma 90.00
_symmetry_space_group_name_H-M 'P 1'
_symmetry_Int_Tables_number 1
_symmetry_space_group_name_Hall 'P 1'
loop_
_atom_site_label
_atom_site_type_symbol
_atom_site_fract_x
_atom_site_fract_y
_atom_site_fract_z
Mo1 Mo 0.000 0.000 0.000
Mo2 Mo 0.000 0.500 0.500
Mo3 Mo 0.500 0.000 0.223
Mo4 Mo 0.500 0.500 0.723
Se1 Se 0.087 0.000 0.333
Se2 Se 0.087 0.500 0.833
Se3 Se 0.913 0.000 0.333
Se4 Se 0.913 0.500 0.833
S1 S 0.421 0.000 0.890
S2 S 0.421 0.500 0.390
S3 S 0.579 0.000 0.890
S4 S 0.579 0.500 0.390
```

Principal peaks in the range 2θ = 10–90°, by intensity:
d [Å], intensity, h k l
2.285, 1000, 5 1 1
1.981, 586, 7 1 1
2.820, 394, 0 1 1
2.709, 376, 2 1 1
1.623, 374, 12 0 0
2.587, 373, 3 0 2
2.440, 292, 4 0 2
2.130, 288, 6 0 2
2.791, 200, 1 0 2
1.606, 170, 2 2 0


Diffraction record for MoSeS. The X-ray powder pattern is simulated, not measured: it uses the PBE geometry in the Materials Project and λ = 1.5418 Å (Cu Kα).
Kinematic intensities with the Lorentz-polarization factor, no thermal factor.

Crystal structure
```
data_MoSeS
_cell_length_a 3.255
_cell_length_b 3.255
_cell_length_c 36.845
_cell_angle_alpha 90.00
_cell_angle_beta 90.00
_cell_angle_gamma 120.00
_symmetry_space_group_name_H-M 'P 1'
_symmetry_Int_Tables_number 1
_symmetry_space_group_name_Hall 'P 1'
loop_
_atom_site_label
_atom_site_type_symbol
_atom_site_fract_x
_atom_site_fract_y
_atom_site_fract_z
Mo1 Mo 0.333 0.667 0.094
Mo2 Mo 0.333 0.667 0.718
Mo3 Mo 0.667 0.333 0.282
Mo4 Mo 0.667 0.333 0.906
Se1 Se 0.333 0.667 0.860
Se2 Se 0.333 0.667 0.952
Se3 Se 0.667 0.333 0.048
Se4 Se 0.667 0.333 0.140
S1 S 0.333 0.667 0.240
S2 S 0.333 0.667 0.324
S3 S 0.667 0.333 0.676
S4 S 0.667 0.333 0.760
```

Principal peaks in the range 2θ = 10–90°, by intensity:
d [Å], intensity, h k l
7.369, 1000, 0 0 5
2.404, 695, 1 0 8
1.999, 450, 0 1 13
2.816, 422, 1 0 0
1.627, 280, 1 1 0
1.924, 165, 1 0 14
2.322, 153, 1 0 9
6.141, 150, 0 0 6
2.633, 128, 1 0 5
1.193, 123, 1 1 21


Diffraction record for MoSeS. The X-ray powder pattern is simulated, not measured: it uses the PBE geometry in the Materials Project and λ = 1.5418 Å (Cu Kα).
Kinematic intensities with the Lorentz-polarization factor, no thermal factor.

Crystal structure
```
data_MoSeS
_cell_length_a 3.256
_cell_length_b 3.256
_cell_length_c 36.842
_cell_angle_alpha 90.00
_cell_angle_beta 90.00
_cell_angle_gamma 120.00
_symmetry_space_group_name_H-M 'P 1'
_symmetry_Int_Tables_number 1
_symmetry_space_group_name_Hall 'P 1'
loop_
_atom_site_label
_atom_site_type_symbol
_atom_site_fract_x
_atom_site_fract_y
_atom_site_fract_z
Mo1 Mo 0.000 0.000 0.000
Mo2 Mo 0.000 0.000 0.376
Mo3 Mo 0.333 0.667 0.188
Mo4 Mo 0.333 0.667 0.564
Se1 Se 0.000 0.000 0.142
Se2 Se 0.000 0.000 0.234
Se3 Se 0.000 0.000 0.518
Se4 Se 0.000 0.000 0.610
S1 S 0.333 0.667 0.042
S2 S 0.333 0.667 0.334
S3 S 0.333 0.667 0.418
S4 S 0.333 0.667 0.958
```

Principal peaks in the range 2θ = 10–90°, by intensity:
d [Å], intensity, h k l
7.368, 1000, 0 0 5
2.405, 706, 1 0 8
1.999, 444, 0 1 13
2.818, 390, 1 0 0
1.628, 247, 1 1 0
6.140, 173, 0 0 6
1.924, 147, 1 0 14
2.633, 127, 1 0 5
1.193, 117, 1 1 21
1.348, 109, 0 2 8


Diffraction record for Mo2SeS3. The X-ray powder pattern is simulated, not measured: it uses the PBE geometry in the Materials Project and λ = 1.5418 Å (Cu Kα).
Kinematic intensities with the Lorentz-polarization factor, no thermal factor.

Crystal structure
```
data_Mo2SeS3
_cell_length_a 3.221
_cell_length_b 3.221
_cell_length_c 36.376
_cell_angle_alpha 90.00
_cell_angle_beta 90.00
_cell_angle_gamma 120.00
_symmetry_space_group_name_H-M 'P 1'
_symmetry_Int_Tables_number 1
_symmetry_space_group_name_Hall 'P 1'
loop_
_atom_site_label
_atom_site_type_symbol
_atom_site_fract_x
_atom_site_fract_y
_atom_site_fract_z
Mo1 Mo 0.000 0.000 0.000
Mo2 Mo 0.000 0.000 0.376
Mo3 Mo 0.333 0.667 0.188
Mo4 Mo 0.333 0.667 0.564
Se1 Se 0.333 0.667 0.329
Se2 Se 0.333 0.667 0.423
S1 S 0.000 0.000 0.145
S2 S 0.000 0.000 0.231
S3 S 0.000 0.000 0.521
S4 S 0.000 0.000 0.606
S5 S 0.333 0.667 0.043
S6 S 0.333 0.667 0.957
```

Principal peaks in the range 2θ = 10–90°, by intensity:
d [Å], intensity, h k l
7.275, 1000, 0 0 5
2.377, 603, 1 0 8
1.975, 373, 0 1 13
2.787, 344, 1 0 0
1.610, 217, 1 1 0
6.063, 182, 0 0 6
1.901, 134, 1 0 14
2.604, 127, 1 0 5
2.296, 103, 1 0 9
1.179, 97, 1 1 21


Diffraction record for MoSeS. The X-ray powder pattern is simulated, not measured: it uses the PBE geometry in the Materials Project and λ = 1.5418 Å (Cu Kα).
Kinematic intensities with the Lorentz-polarization factor, no thermal factor.

Crystal structure
```
data_MoSeS
_cell_length_a 3.256
_cell_length_b 3.256
_cell_length_c 22.986
_cell_angle_alpha 90.00
_cell_angle_beta 90.00
_cell_angle_gamma 120.00
_symmetry_space_group_name_H-M 'P 1'
_symmetry_Int_Tables_number 1
_symmetry_space_group_name_Hall 'P 1'
loop_
_atom_site_label
_atom_site_type_symbol
_atom_site_fract_x
_atom_site_fract_y
_atom_site_fract_z
Mo1 Mo 0.000 0.000 0.000
Mo2 Mo 0.333 0.667 0.301
Se1 Se 0.000 0.000 0.227
Se2 Se 0.000 0.000 0.375
S1 S 0.333 0.667 0.067
S2 S 0.333 0.667 0.933
```

Principal peaks in the range 2θ = 10–90°, by intensity:
d [Å], intensity, h k l
7.662, 1000, 0 0 3
2.404, 537, 1 0 5
2.013, 385, 0 1 8
2.820, 248, 1 0 0
2.271, 231, 1 0 6
2.799, 157, 0 1 1
1.628, 156, 1 1 0
1.893, 151, 1 0 9
2.531, 148, 0 1 4
5.747, 129, 0 0 4


Diffraction record for MoSeS. The X-ray powder pattern is simulated, not measured: it uses the PBE geometry in the Materials Project and λ = 1.5418 Å (Cu Kα).
Kinematic intensities with the Lorentz-polarization factor, no thermal factor.

Crystal structure
```
data_MoSeS
_cell_length_a 3.256
_cell_length_b 3.256
_cell_length_c 36.452
_cell_angle_alpha 90.00
_cell_angle_beta 90.00
_cell_angle_gamma 120.00
_symmetry_space_group_name_H-M 'P 1'
_symmetry_Int_Tables_number 1
_symmetry_space_group_name_Hall 'P 1'
loop_
_atom_site_label
_atom_site_type_symbol
_atom_site_fract_x
_atom_site_fract_y
_atom_site_fract_z
Mo1 Mo 0.000 0.000 0.000
Mo2 Mo 0.000 0.000 0.376
Mo3 Mo 0.333 0.667 0.188
Mo4 Mo 0.333 0.667 0.564
Se1 Se 0.000 0.000 0.517
Se2 Se 0.000 0.000 0.610
Se3 Se 0.333 0.667 0.329
Se4 Se 0.333 0.667 0.422
S1 S 0.000 0.000 0.146
S2 S 0.000 0.000 0.230
S3 S 0.333 0.667 0.042
S4 S 0.333 0.667 0.958
```

Principal peaks in the range 2θ = 10–90°, by intensity:
d [Å], intensity, h k l
7.290, 1000, 0 0 5
2.398, 744, 1 0 8
1.988, 447, 0 1 13
2.818, 395, 1 0 0
1.628, 272, 1 1 0
6.075, 174, 0 0 6
1.913, 148, 1 0 14
2.630, 128, 1 0 5
1.188, 125, 1 1 21
1.347, 114, 0 2 8


Diffraction record for Mo3Se2S4. The X-ray powder pattern is simulated, not measured: it uses the PBE geometry in the Materials Project and λ = 1.5418 Å (Cu Kα).
Kinematic intensities with the Lorentz-polarization factor, no thermal factor.

Crystal structure
```
data_Mo3Se2S4
_cell_length_a 3.233
_cell_length_b 3.233
_cell_length_c 29.637
_cell_angle_alpha 90.00
_cell_angle_beta 90.00
_cell_angle_gamma 120.00
_symmetry_space_group_name_H-M 'P 1'
_symmetry_Int_Tables_number 1
_symmetry_space_group_name_Hall 'P 1'
loop_
_atom_site_label
_atom_site_type_symbol
_atom_site_fract_x
_atom_site_fract_y
_atom_site_fract_z
Mo1 Mo 0.000 0.000 0.000
Mo2 Mo 0.000 0.000 0.463
Mo3 Mo 0.333 0.667 0.231
Se1 Se 0.333 0.667 0.405
Se2 Se 0.333 0.667 0.520
S1 S 0.000 0.000 0.179
S2 S 0.000 0.000 0.284
S3 S 0.333 0.667 0.052
S4 S 0.333 0.667 0.948
```

Principal peaks in the range 2θ = 10–90°, by intensity:
d [Å], intensity, h k l
7.409, 1000, 0 0 4
2.335, 415, 1 0 7
2.436, 356, 0 1 6
1.941, 335, 1 0 11
1.616, 240, 1 1 0
2.800, 237, 1 0 0
5.927, 185, 0 0 5
2.035, 168, 0 1 10
2.619, 127, 1 0 4
2.788, 101, 0 1 1


Diffraction record for MoSeS. The X-ray powder pattern is simulated, not measured: it uses the PBE geometry in the Materials Project and λ = 1.5418 Å (Cu Kα).
Kinematic intensities with the Lorentz-polarization factor, no thermal factor.

Crystal structure
```
data_MoSeS
_cell_length_a 3.256
_cell_length_b 3.256
_cell_length_c 36.822
_cell_angle_alpha 90.00
_cell_angle_beta 90.00
_cell_angle_gamma 120.00
_symmetry_space_group_name_H-M 'P 1'
_symmetry_Int_Tables_number 1
_symmetry_space_group_name_Hall 'P 1'
loop_
_atom_site_label
_atom_site_type_symbol
_atom_site_fract_x
_atom_site_fract_y
_atom_site_fract_z
Mo1 Mo 0.333 0.667 0.094
Mo2 Mo 0.333 0.667 0.718
Mo3 Mo 0.667 0.333 0.282
Mo4 Mo 0.667 0.333 0.906
Se1 Se 0.333 0.667 0.236
Se2 Se 0.333 0.667 0.328
Se3 Se 0.667 0.333 0.672
Se4 Se 0.667 0.333 0.764
S1 S 0.333 0.667 0.864
S2 S 0.333 0.667 0.948
S3 S 0.667 0.333 0.052
S4 S 0.667 0.333 0.136
```

Principal peaks in the range 2θ = 10–90°, by intensity:
d [Å], intensity, h k l
7.364, 1000, 0 0 5
2.405, 700, 0 1 8
1.998, 430, 1 0 13
2.819, 361, 1 0 0
1.628, 223, 1 1 0
6.137, 196, 0 0 6
2.239, 148, 1 0 10
1.923, 130, 0 1 14
2.634, 125, 1 0 5
1.193, 113, 1 1 21


Diffraction record for TeMo2Se2S. The X-ray powder pattern is simulated, not measured: it uses the PBE geometry in the Materials Project and λ = 1.5418 Å (Cu Kα).
Kinematic intensities with the Lorentz-polarization factor, no thermal factor.

Crystal structure
```
data_TeMo2Se2S
_cell_length_a 3.345
_cell_length_b 3.345
_cell_length_c 38.045
_cell_angle_alpha 90.00
_cell_angle_beta 90.00
_cell_angle_gamma 120.00
_symmetry_space_group_name_H-M 'P 1'
_symmetry_Int_Tables_number 1
_symmetry_space_group_name_Hall 'P 1'
loop_
_atom_site_label
_atom_site_type_symbol
_atom_site_fract_x
_atom_site_fract_y
_atom_site_fract_z
Te1 Te 0.000 0.000 0.000
Te2 Te 0.000 0.000 0.100
Mo1 Mo 0.000 0.000 0.238
Mo2 Mo 0.000 0.000 0.862
Mo3 Mo 0.333 0.667 0.050
Mo4 Mo 0.333 0.667 0.426
Se1 Se 0.000 0.000 0.382
Se2 Se 0.000 0.000 0.469
Se3 Se 0.333 0.667 0.194
Se4 Se 0.333 0.667 0.282
S1 S 0.333 0.667 0.822
S2 S 0.333 0.667 0.902
```

Principal peaks in the range 2θ = 10–90°, by intensity:
d [Å], intensity, h k l
7.609, 1000, 0 0 5
2.474, 987, 1 0 8
2.895, 595, 1 0 0
2.059, 591, 0 1 13
1.672, 403, 1 1 0
2.389, 201, 1 0 9
1.982, 188, 1 0 14
1.229, 177, 1 1 21
1.385, 153, 0 2 8
2.556, 146, 0 1 7


Diffraction record for Te2Mo2SeS. The X-ray powder pattern is simulated, not measured: it uses the PBE geometry in the Materials Project and λ = 1.5418 Å (Cu Kα).
Kinematic intensities with the Lorentz-polarization factor, no thermal factor.

Crystal structure
```
data_Te2Mo2SeS
_cell_length_a 3.399
_cell_length_b 3.399
_cell_length_c 40.026
_cell_angle_alpha 90.00
_cell_angle_beta 90.00
_cell_angle_gamma 120.00
_symmetry_space_group_name_H-M 'P 1'
_symmetry_Int_Tables_number 1
_symmetry_space_group_name_Hall 'P 1'
loop_
_atom_site_label
_atom_site_type_symbol
_atom_site_fract_x
_atom_site_fract_y
_atom_site_fract_z
Te1 Te 0.000 0.000 0.000
Te2 Te 0.000 0.000 0.094
Te3 Te 0.333 0.667 0.809
Te4 Te 0.333 0.667 0.903
Mo1 Mo 0.000 0.000 0.482
Mo2 Mo 0.000 0.000 0.856
Mo3 Mo 0.333 0.667 0.047
Mo4 Mo 0.333 0.667 0.669
Se1 Se 0.000 0.000 0.628
Se2 Se 0.000 0.000 0.710
S1 S 0.333 0.667 0.444
S2 S 0.333 0.667 0.519
```

Principal peaks in the range 2θ = 10–90°, by intensity:
d [Å], intensity, h k l
8.005, 1000, 0 0 5
2.537, 859, 0 1 8
2.128, 637, 0 1 13
2.941, 532, 1 0 0
1.699, 386, 1 1 0
2.051, 199, 1 0 14
2.454, 170, 0 1 9
1.268, 167, 1 1 21
1.328, 135, 2 0 13
6.671, 135, 0 0 6


Diffraction record for TeMo2Se2S. The X-ray powder pattern is simulated, not measured: it uses the PBE geometry in the Materials Project and λ = 1.5418 Å (Cu Kα).
Kinematic intensities with the Lorentz-polarization factor, no thermal factor.

Crystal structure
```
data_TeMo2Se2S
_cell_length_a 3.345
_cell_length_b 3.345
_cell_length_c 38.005
_cell_angle_alpha 90.00
_cell_angle_beta 90.00
_cell_angle_gamma 120.00
_symmetry_space_group_name_H-M 'P 1'
_symmetry_Int_Tables_number 1
_symmetry_space_group_name_Hall 'P 1'
loop_
_atom_site_label
_atom_site_type_symbol
_atom_site_fract_x
_atom_site_fract_y
_atom_site_fract_z
Te1 Te 0.000 0.000 0.000
Te2 Te 0.000 0.000 0.100
Mo1 Mo 0.000 0.000 0.486
Mo2 Mo 0.000 0.000 0.862
Mo3 Mo 0.333 0.667 0.050
Mo4 Mo 0.333 0.667 0.674
Se1 Se 0.333 0.667 0.442
Se2 Se 0.333 0.667 0.530
Se3 Se 0.333 0.667 0.818
Se4 Se 0.333 0.667 0.906
S1 S 0.000 0.000 0.634
S2 S 0.000 0.000 0.714
```

Principal peaks in the range 2θ = 10–90°, by intensity:
d [Å], intensity, h k l
7.601, 1000, 0 0 5
2.473, 965, 0 1 8
2.058, 567, 1 0 13
2.894, 546, 1 0 0
1.672, 342, 1 1 0
2.304, 195, 0 1 10
1.981, 173, 0 1 14
6.334, 172, 0 0 6
1.228, 167, 1 1 21
1.385, 150, 2 0 8


Diffraction record for TeMo2Se2S. The X-ray powder pattern is simulated, not measured: it uses the PBE geometry in the Materials Project and λ = 1.5418 Å (Cu Kα).
Kinematic intensities with the Lorentz-polarization factor, no thermal factor.

Crystal structure
```
data_TeMo2Se2S
_cell_length_a 3.344
_cell_length_b 3.344
_cell_length_c 41.759
_cell_angle_alpha 90.00
_cell_angle_beta 90.00
_cell_angle_gamma 120.00
_symmetry_space_group_name_H-M 'P 1'
_symmetry_Int_Tables_number 1
_symmetry_space_group_name_Hall 'P 1'
loop_
_atom_site_label
_atom_site_type_symbol
_atom_site_fract_x
_atom_site_fract_y
_atom_site_fract_z
Te1 Te 0.000 0.000 0.000
Te2 Te 0.000 0.000 0.091
Mo1 Mo 0.000 0.000 0.236
Mo2 Mo 0.000 0.000 0.855
Mo3 Mo 0.667 0.333 0.045
Mo4 Mo 0.667 0.333 0.669
Se1 Se 0.667 0.333 0.196
Se2 Se 0.667 0.333 0.275
Se3 Se 0.667 0.333 0.815
Se4 Se 0.667 0.333 0.895
S1 S 0.000 0.000 0.633
S2 S 0.000 0.000 0.706
```

Principal peaks in the range 2θ = 10–90°, by intensity:
d [Å], intensity, h k l
8.352, 1000, 0 0 5
2.151, 505, 0 1 13
2.532, 458, 1 0 8
2.894, 336, 1 0 0
1.671, 240, 1 1 0
2.078, 142, 1 0 14
1.639, 135, 1 1 5
6.960, 129, 0 0 6
2.736, 105, 1 0 5
1.320, 102, 2 0 13